This entry pairs a crystal structure of CdPb5Br12 with its computed powder X-ray diffraction pattern. Radiation: Cu Kα, 1.54184 Å. Structure: a crystal structure in Alexandria, relaxed with PBE.
Peak positions follow from Bragg's law for the DFT cell and can differ from measured ones.

Structural model:
Unit cell a=7.615 b=13.259 c=13.929 alpha=90.00 beta=90.03 gamma=90.00
Space group C2/m (No. 12)
Asymmetric unit:
Cd 0.000 0.000 0.000 [2 per cell]
Pb 0.000 0.167 0.500 [4 per cell]
Pb 0.000 0.333 0.000 [4 per cell]
Pb 0.000 0.500 0.500 [2 per cell]
Br 0.154 0.155 0.114 [8 per cell]
Br 0.166 0.000 0.377 [4 per cell]
Br 0.166 0.333 0.377 [8 per cell]
Br 0.191 0.500 0.114 [4 per cell]

Most intense lines, 2θ from 5° to 70°, low angle first:
- 12.7°, I = 100, (0 0 2)
- 24.2°, I = 49, (1 3 -1)
- 26.6°, I = 67, (2 0 2)
- 30.3°, I = 84, (1 3 3)
- 34.9°, I = 33, (2 0 -4)
- 40.1°, I = 43, (1 3 5)
- 40.8°, I = 18, (0 6 0)
- 41.5°, I = 52, (3 3 -1)
- 54.8°, I = 18, (2 6 -4)
- 63.0°, I = 19, (3 3 7)